[1]
Pu6GeSb3: theoretical X-ray powder pattern (Cu Kα), based on a crystal structure in Alexandria, relaxed with PBE.
Kinematic intensities with the Lorentz-polarization factor, no thermal factor.

Cell and atoms:
```
data_Pu6GeSb3
_chemical_formula_sum 'Pu12 Ge2 Sb6'
_cell_length_a 8.6610
_cell_length_b 6.2914
_cell_length_c 10.1581
_cell_angle_alpha 90.00
_cell_angle_beta 110.90
_cell_angle_gamma 90.00
_space_group_name_H-M_alt 'C 1 2/m 1'
_space_group_IT_number 12
loop_
_space_group_symop_operation_xyz
'x,y,z'
'-x,-y,-z'
'-x,y,-z'
'x,-y,z'
'x+1/2,y+1/2,z'
'-x+1/2,-y+1/2,-z'
'-x+1/2,y+1/2,-z'
'x+1/2,-y+1/2,z'
loop_
_atom_site_label
_atom_site_fract_x
_atom_site_fract_y
_atom_site_fract_z
Pu1 0.1861 0.2424 0.3348
Pu2 0.2430 0.5000 0.1587
Ge1 0.0000 0.0000 0.5000
Sb1 0.0000 0.0000 0.0000
Sb2 0.1241 0.5000 0.8318
```

Most intense lines, 2θ from 15° to 90°, in order of falling intensity:
2θ 40.44, rel. 100, (0 2 3); 2θ 35.30, rel. 90, (2 2 -1); 2θ 21.97, rel. 78, (2 0 0); 2θ 29.93, rel. 69, (0 2 1); 2θ 33.86, rel. 65, (2 0 2); 2θ 36.43, rel. 64, (2 0 -4); 2θ 41.00, rel. 48, (2 2 -3); 2θ 18.70, rel. 42, (0 0 2); 2θ 34.25, rel. 36, (3 1 -1); 2θ 28.73, rel. 34, (1 1 2)

[2]
Pu3GeSb: theoretical X-ray powder pattern (Cu Kα), based on a crystal structure in Alexandria, relaxed with PBE.
Kinematic intensities with the Lorentz-polarization factor, no thermal factor.

Cell and atoms:
```
data_Pu3GeSb
_chemical_formula_sum 'Pu12 Ge4 Sb4'
_cell_length_a 7.9079
_cell_length_b 8.6777
_cell_length_c 7.4700
_cell_angle_alpha 90.00
_cell_angle_beta 90.00
_cell_angle_gamma 90.00
_space_group_name_H-M_alt 'P n n m'
_space_group_IT_number 58
loop_
_space_group_symop_operation_xyz
'x,y,z'
'-x,-y,-z'
'-x,-y,z'
'x,y,-z'
'x+1/2,-y+1/2,-z+1/2'
'-x+1/2,y+1/2,z+1/2'
'-x+1/2,y+1/2,-z+1/2'
'x+1/2,-y+1/2,z+1/2'
loop_
_atom_site_label
_atom_site_fract_x
_atom_site_fract_y
_atom_site_fract_z
Pu1 0.0000 0.0000 0.2187
Pu2 0.1048 0.3609 0.2556
Ge1 0.2059 0.6410 0.5000
Sb1 0.2111 0.6353 0.0000
```

Most intense lines, 2θ from 15° to 90°, in order of falling intensity:
2θ 32.98, rel. 100, (1 3 0); 2θ 33.63, rel. 68, (1 2 2); 2θ 34.62, rel. 51, (2 1 2); 2θ 41.09, rel. 44, (1 3 2); 2θ 23.82, rel. 43, (0 0 2); 2θ 64.89, rel. 34, (5 1 2); 2θ 40.02, rel. 31, (3 2 0); 2θ 35.60, rel. 26, (3 1 0); 2θ 24.74, rel. 25, (2 1 0); 2θ 63.65, rel. 21, (4 4 0)

[3]
PuSc2Ge: theoretical X-ray powder pattern (Cu Kα), based on a crystal structure in Alexandria, relaxed with PBE.
Kinematic intensities with the Lorentz-polarization factor, no thermal factor.

Cell and atoms:
```
data_PuSc2Ge
_chemical_formula_sum 'Pu3 Sc6 Ge3'
_cell_length_a 3.3140
_cell_length_b 3.3140
_cell_length_c 28.8641
_cell_angle_alpha 90.00
_cell_angle_beta 90.00
_cell_angle_gamma 120.00
_space_group_name_H-M_alt 'R -3 m'
_space_group_IT_number 166
_space_group_name_Hall '-R 3 2"'
loop_
_atom_site_label
_atom_site_fract_x
_atom_site_fract_y
_atom_site_fract_z
Pu1 0.0000 0.0000 0.0000
Sc1 0.0000 0.0000 0.2390
Ge1 0.0000 0.0000 0.5000
```

Most intense lines, 2θ from 15° to 90°, in order of falling intensity:
2θ 33.61, rel. 100, (1 0 4); 2θ 40.15, rel. 58, (0 1 8); 2θ 18.44, rel. 45, (0 0 6); 2θ 31.79, rel. 36, (0 1 2); 2θ 55.45, rel. 24, (1 1 0); 2θ 37.39, rel. 22, (0 0 12); 2θ 68.80, rel. 22, (1 1 12); 2θ 31.32, rel. 21, (1 0 1); 2θ 34.91, rel. 21, (0 1 5); 2θ 44.52, rel. 17, (1 0 10)

[4]
PuScTlGe: theoretical X-ray powder pattern (Cu Kα), based on a crystal structure in Alexandria, relaxed with PBE.
Kinematic intensities with the Lorentz-polarization factor, no thermal factor.

Cell and atoms:
```
data_PuScTlGe
_chemical_formula_sum 'Pu4 Sc4 Tl4 Ge4'
_cell_length_a 7.2119
_cell_length_b 7.2119
_cell_length_c 7.2119
_cell_angle_alpha 90.00
_cell_angle_beta 90.00
_cell_angle_gamma 90.00
_space_group_name_H-M_alt 'F -4 3 m'
_space_group_IT_number 216
_space_group_name_Hall 'F -4 2 3'
loop_
_atom_site_label
_atom_site_fract_x
_atom_site_fract_y
_atom_site_fract_z
Pu1 0.0000 0.0000 0.0000
Sc1 0.0000 0.0000 0.5000
Tl1 0.2500 0.2500 0.7500
Ge1 0.2500 0.2500 0.2500
```

Most intense lines, 2θ from 15° to 90°, in order of falling intensity:
2θ 35.20, rel. 100, (2 2 0); 2θ 21.34, rel. 38, (1 1 1); 2θ 63.16, rel. 37, (4 2 2); 2θ 41.53, rel. 22, (3 1 1); 2θ 50.63, rel. 18, (4 0 0); 2θ 85.07, rel. 17, (6 2 0); 2θ 74.41, rel. 12, (4 4 0); 2θ 55.54, rel. 10, (3 3 1); 2θ 78.46, rel. 7, (5 3 1); 2θ 67.48, rel. 7, (5 1 1)

[5]
Pu2GeSe4: theoretical X-ray powder pattern (Cu Kα), based on a crystal structure in Alexandria, relaxed with PBE.
Kinematic intensities with the Lorentz-polarization factor, no thermal factor.

Cell and atoms:
```
data_Pu2GeSe4
_chemical_formula_sum 'Pu4 Ge2 Se8'
_cell_length_a 6.9138
_cell_length_b 6.9138
_cell_length_c 7.4196
_cell_angle_alpha 90.00
_cell_angle_beta 90.00
_cell_angle_gamma 90.00
_space_group_name_H-M_alt 'I 4/m m m'
_space_group_IT_number 139
_space_group_name_Hall '-I 4 2'
loop_
_atom_site_label
_atom_site_fract_x
_atom_site_fract_y
_atom_site_fract_z
Pu1 0.0000 0.5000 0.2500
Ge1 0.0000 0.0000 0.0000
Se1 0.2375 0.2375 0.5000
```

Most intense lines, 2θ from 15° to 90°, in order of falling intensity:
2θ 35.50, rel. 100, (2 0 2); 2θ 30.24, rel. 90, (1 1 2); 2θ 18.15, rel. 77, (1 1 0); 2θ 36.77, rel. 66, (2 2 0); 2θ 48.32, rel. 49, (3 1 2); 2θ 65.40, rel. 33, (4 2 2); 2θ 62.90, rel. 28, (2 2 4); 2θ 52.98, rel. 23, (4 0 0); 2θ 41.29, rel. 21, (3 1 0); 2θ 75.12, rel. 18, (4 0 4)

[6]
Sr2PuGeSe5: theoretical X-ray powder pattern (Cu Kα), based on a crystal structure in Alexandria, relaxed with PBE.
Kinematic intensities with the Lorentz-polarization factor, no thermal factor.

Cell and atoms:
```
data_Sr2PuGeSe5
_chemical_formula_sum 'Sr8 Pu4 Ge4 Se20'
_cell_length_a 4.3729
_cell_length_b 18.6964
_cell_length_c 12.5239
_cell_angle_alpha 90.00
_cell_angle_beta 90.00
_cell_angle_gamma 90.00
_space_group_name_H-M_alt 'C m c 21'
_space_group_IT_number 36
loop_
_space_group_symop_operation_xyz
'x,y,z'
'-x,-y,z+1/2'
'-x,y,z'
'x,-y,z+1/2'
'x+1/2,y+1/2,z'
'-x+1/2,-y+1/2,z+1/2'
'-x+1/2,y+1/2,z'
'x+1/2,-y+1/2,z+1/2'
loop_
_atom_site_label
_atom_site_fract_x
_atom_site_fract_y
_atom_site_fract_z
Sr1 0.0000 0.1182 0.0000
Sr2 0.0000 0.1203 0.6424
Pu1 0.0000 0.2066 0.3410
Ge1 0.0000 0.4434 0.7583
Se1 0.0000 0.0435 0.3510
Se2 0.0000 0.2950 0.9934
Se3 0.0000 0.3184 0.6824
Se4 0.0000 0.3585 0.3235
Se5 0.0000 0.4996 0.0852
```

Most intense lines, 2θ from 15° to 90°, in order of falling intensity:
2θ 29.98, rel. 100, (1 1 3); 2θ 29.54, rel. 55, (0 6 1); 2θ 34.66, rel. 54, (1 5 2); 2θ 41.28, rel. 33, (2 0 0); 2θ 51.58, rel. 23, (2 6 1); 2θ 49.46, rel. 20, (1 7 4); 2θ 17.04, rel. 17, (0 2 2); 2θ 22.05, rel. 15, (1 1 1); 2θ 46.50, rel. 12, (0 6 5); 2θ 42.98, rel. 12, (1 5 4)

[7]
Pu2Si3Ge: theoretical X-ray powder pattern (Cu Kα), based on a crystal structure in Alexandria, relaxed with PBE.
Kinematic intensities with the Lorentz-polarization factor, no thermal factor.

Cell and atoms:
```
data_Pu2Si3Ge
_chemical_formula_sum 'Pu16 Si24 Ge8'
_cell_length_a 7.8948
_cell_length_b 8.2392
_cell_length_c 14.1298
_cell_angle_alpha 90.00
_cell_angle_beta 90.00
_cell_angle_gamma 90.00
_space_group_name_H-M_alt 'F m m m'
_space_group_IT_number 69
_space_group_name_Hall '-F 2 2'
loop_
_atom_site_label
_atom_site_fract_x
_atom_site_fract_y
_atom_site_fract_z
Pu1 0.2490 0.0000 0.0000
Pu2 0.2500 0.2500 0.2500
Si1 0.0000 0.0000 0.1632
Si2 0.0000 0.2456 0.0825
Ge1 0.0000 0.0000 0.3336
```

Most intense lines, 2θ from 15° to 90°, in order of falling intensity:
2θ 33.92, rel. 100, (2 2 2); 2θ 25.02, rel. 53, (0 2 2); 2θ 34.06, rel. 50, (2 0 4); 2θ 44.30, rel. 32, (0 2 6); 2θ 25.21, rel. 26, (0 0 4); 2θ 56.75, rel. 24, (2 4 4); 2θ 22.52, rel. 20, (2 0 0); 2θ 65.76, rel. 20, (4 2 6); 2θ 43.96, rel. 16, (0 4 0); 2θ 53.06, rel. 15, (4 2 2)

[8]
Pu3Si2Ge: theoretical X-ray powder pattern (Cu Kα), based on a crystal structure in Alexandria, relaxed with PBE.
Kinematic intensities with the Lorentz-polarization factor, no thermal factor.

Cell and atoms:
```
data_Pu3Si2Ge
_chemical_formula_sum 'Pu12 Si8 Ge4'
_cell_length_a 5.7190
_cell_length_b 10.2184
_cell_length_c 9.8881
_cell_angle_alpha 90.00
_cell_angle_beta 121.67
_cell_angle_gamma 90.00
_space_group_name_H-M_alt 'P 1 21/c 1'
_space_group_IT_number 14
loop_
_space_group_symop_operation_xyz
'x,y,z'
'-x,-y,-z'
'-x,y+1/2,-z+1/2'
'x,-y+1/2,z+1/2'
loop_
_atom_site_label
_atom_site_fract_x
_atom_site_fract_y
_atom_site_fract_z
Pu1 0.1556 0.1386 0.3369
Pu2 0.2883 0.6338 0.5851
Pu3 0.2887 0.0376 0.6265
Si1 0.1720 0.0784 0.8706
Si2 0.3989 0.1738 0.1310
Ge1 0.2453 0.6529 0.8808
```

Most intense lines, 2θ from 15° to 90°, in order of falling intensity:
2θ 23.37, rel. 100, (1 2 -1); 2θ 36.85, rel. 65, (1 3 1); 2θ 38.02, rel. 57, (1 3 -3); 2θ 31.34, rel. 36, (2 0 -2); 2θ 36.55, rel. 33, (1 0 -4); 2θ 36.94, rel. 31, (2 0 0); 2θ 55.30, rel. 28, (3 3 -3); 2θ 42.99, rel. 23, (0 0 4); 2θ 30.56, rel. 23, (1 3 -1); 2θ 39.24, rel. 23, (2 0 -4)

[9]
Pu6Si2Ge: theoretical X-ray powder pattern (Cu Kα), based on a crystal structure in Alexandria, relaxed with PBE.
Kinematic intensities with the Lorentz-polarization factor, no thermal factor.

Cell and atoms:
```
data_Pu6Si2Ge
_chemical_formula_sum 'Pu24 Si8 Ge4'
_cell_length_a 8.3153
_cell_length_b 9.2733
_cell_length_c 10.5119
_cell_angle_alpha 90.00
_cell_angle_beta 90.00
_cell_angle_gamma 90.00
_space_group_name_H-M_alt 'I m m m'
_space_group_IT_number 71
_space_group_name_Hall '-I 2 2'
loop_
_atom_site_label
_atom_site_fract_x
_atom_site_fract_y
_atom_site_fract_z
Pu1 0.0000 0.2173 0.1828
Pu2 0.1978 0.5000 0.2554
Pu3 0.2075 0.2189 0.5000
Si1 0.0000 0.0000 0.3825
Si2 0.1437 0.0000 0.0000
Ge1 0.0000 0.5000 0.0000
Ge2 0.0000 0.5000 0.5000
```

Most intense lines, 2θ from 15° to 90°, in order of falling intensity:
2θ 33.60, rel. 100, (2 2 2); 2θ 38.83, rel. 45, (0 4 0); 2θ 33.82, rel. 32, (1 2 3); 2θ 37.96, rel. 23, (3 1 2); 2θ 25.62, rel. 21, (0 2 2); 2θ 56.12, rel. 20, (0 2 6); 2θ 27.63, rel. 18, (1 0 3); 2θ 34.12, rel. 18, (0 0 4); 2θ 40.61, rel. 15, (2 0 4); 2θ 62.83, rel. 15, (3 5 2)

[10]
Pu3SiGe: theoretical X-ray powder pattern (Cu Kα), based on a crystal structure in Alexandria, relaxed with PBE.
Kinematic intensities with the Lorentz-polarization factor, no thermal factor.

Cell and atoms:
```
data_Pu3SiGe
_chemical_formula_sum 'Pu12 Si4 Ge4'
_cell_length_a 7.7660
_cell_length_b 8.4807
_cell_length_c 6.9162
_cell_angle_alpha 90.00
_cell_angle_beta 90.00
_cell_angle_gamma 90.00
_space_group_name_H-M_alt 'P n n m'
_space_group_IT_number 58
loop_
_space_group_symop_operation_xyz
'x,y,z'
'-x,-y,-z'
'-x,-y,z'
'x,y,-z'
'x+1/2,-y+1/2,-z+1/2'
'-x+1/2,y+1/2,z+1/2'
'-x+1/2,y+1/2,-z+1/2'
'x+1/2,-y+1/2,z+1/2'
loop_
_atom_site_label
_atom_site_fract_x
_atom_site_fract_y
_atom_site_fract_z
Pu1 0.0000 0.0000 0.2460
Pu2 0.1094 0.3606 0.2521
Si1 0.2024 0.6429 0.5000
Ge1 0.2012 0.6423 0.0000
```

Most intense lines, 2θ from 15° to 90°, in order of falling intensity:
2θ 25.76, rel. 100, (0 0 2); 2θ 33.74, rel. 95, (1 3 0); 2θ 42.93, rel. 81, (1 3 2); 2θ 35.43, rel. 76, (1 2 2); 2θ 36.37, rel. 75, (2 1 2); 2θ 25.23, rel. 55, (2 1 0); 2θ 40.86, rel. 51, (3 2 0); 2θ 34.74, rel. 45, (2 0 2); 2θ 36.28, rel. 43, (3 1 0); 2θ 65.88, rel. 37, (2 5 2)

[11]
Pu12Si5Ge: theoretical X-ray powder pattern (Cu Kα), based on a crystal structure in Alexandria, relaxed with PBE.
Kinematic intensities with the Lorentz-polarization factor, no thermal factor.

Cell and atoms:
```
data_Pu12Si5Ge
_chemical_formula_sum 'Pu24 Si10 Ge2'
_cell_length_a 9.0101
_cell_length_b 9.1422
_cell_length_c 9.9631
_cell_angle_alpha 90.00
_cell_angle_beta 90.00
_cell_angle_gamma 90.00
_space_group_name_H-M_alt 'I m m m'
_space_group_IT_number 71
_space_group_name_Hall '-I 2 2'
loop_
_atom_site_label
_atom_site_fract_x
_atom_site_fract_y
_atom_site_fract_z
Pu1 0.0000 0.2255 0.1806
Pu2 0.1847 0.2365 0.5000
Pu3 0.2036 0.5000 0.2514
Si1 0.0000 0.0000 0.3795
Si2 0.0000 0.5000 0.5000
Si3 0.1303 0.0000 0.0000
Ge1 0.0000 0.5000 0.0000
```

Most intense lines, 2θ from 15° to 90°, in order of falling intensity:
2θ 33.21, rel. 100, (2 2 2); 2θ 34.84, rel. 37, (1 2 3); 2θ 39.43, rel. 29, (0 4 0); 2θ 36.93, rel. 28, (3 2 1); 2θ 26.46, rel. 25, (0 2 2); 2θ 59.20, rel. 25, (0 2 6); 2θ 28.65, rel. 23, (1 0 3); 2θ 31.10, rel. 21, (3 0 1); 2θ 36.28, rel. 19, (3 1 2); 2θ 36.06, rel. 15, (0 0 4)

[12]
Pu4SiGe3: theoretical X-ray powder pattern (Cu Kα), based on a crystal structure in Alexandria, relaxed with PBE.
Kinematic intensities with the Lorentz-polarization factor, no thermal factor.

Cell and atoms:
```
data_Pu4SiGe3
_chemical_formula_sum 'Pu4 Si1 Ge3'
_cell_length_a 3.5216
_cell_length_b 4.8145
_cell_length_c 9.2591
_cell_angle_alpha 90.00
_cell_angle_beta 90.00
_cell_angle_gamma 90.00
_space_group_name_H-M_alt 'P m m 2'
_space_group_IT_number 25
loop_
_space_group_symop_operation_xyz
'x,y,z'
'-x,-y,z'
'-x,y,z'
'x,-y,z'
loop_
_atom_site_label
_atom_site_fract_x
_atom_site_fract_y
_atom_site_fract_z
Pu1 0.0000 0.0000 0.0000
Pu2 0.0000 0.5000 0.4936
Pu3 0.5000 0.0000 0.8340
Pu4 0.5000 0.5000 0.3286
Si1 0.0000 0.0000 0.3093
Ge1 0.0000 0.5000 0.8008
Ge2 0.5000 0.0000 0.5215
Ge3 0.5000 0.5000 0.0252
```

Most intense lines, 2θ from 15° to 90°, in order of falling intensity:
2θ 43.27, rel. 100, (1 1 3); 2θ 20.80, rel. 89, (0 1 1); 2θ 32.96, rel. 62, (1 1 1); 2θ 19.17, rel. 40, (0 0 2); 2θ 37.36, rel. 40, (0 2 0); 2θ 31.93, rel. 26, (1 0 2); 2θ 71.47, rel. 23, (1 3 3); 2θ 49.94, rel. 16, (1 2 2); 2θ 51.93, rel. 16, (2 0 0); 2θ 46.97, rel. 16, (1 0 4)

[13]
Pu4Si2Ge: theoretical X-ray powder pattern (Cu Kα), based on a crystal structure in Alexandria, relaxed with PBE.
Kinematic intensities with the Lorentz-polarization factor, no thermal factor.

Cell and atoms:
```
data_Pu4Si2Ge
_chemical_formula_sum 'Pu12 Si6 Ge3'
_cell_length_a 4.8437
_cell_length_b 4.8437
_cell_length_c 20.7088
_cell_angle_alpha 90.00
_cell_angle_beta 90.00
_cell_angle_gamma 120.00
_space_group_name_H-M_alt 'R -3 m'
_space_group_IT_number 166
_space_group_name_Hall '-R 3 2"'
loop_
_atom_site_label
_atom_site_fract_x
_atom_site_fract_y
_atom_site_fract_z
Pu1 0.0000 0.0000 0.0829
Pu2 0.0000 0.0000 0.2499
Si1 0.0000 0.0000 0.3832
Ge1 0.0000 0.0000 0.5000
```

Most intense lines, 2θ from 15° to 90°, in order of falling intensity:
2θ 37.13, rel. 100, (1 1 0); 2θ 45.77, rel. 62, (1 1 6); 2θ 25.81, rel. 46, (0 0 6); 2θ 66.53, rel. 25, (1 1 12); 2θ 21.62, rel. 22, (1 0 1); 2θ 30.33, rel. 22, (0 1 5); 2θ 66.93, rel. 22, (3 0 0); 2θ 73.01, rel. 16, (3 0 6); 2θ 84.86, rel. 11, (2 2 6); 2θ 27.36, rel. 10, (1 0 4)